1.
Theoretical X-ray diffraction stick pattern
Compound: Ba2Hg2Rh
Radiation: copper Kα
Structure: a DFT-relaxed cell (PBE, Alexandria)
Intensities are scaled so that the largest is 100.

a b c (Å): 12.7057 4.3967 13.4679
angles (deg): 90.00 117.84 90.00
Space group C2/m (No. 12)
Asymmetric unit:
Ba: 0.0838 0.0000 0.3810 [4 per cell]
Ba: 0.2065 0.5000 0.1313 [4 per cell]
Hg: 0.0366 0.0000 0.9050 [4 per cell]
Hg: 0.1391 0.5000 0.6276 [4 per cell]
Rh: 0.0795 0.5000 0.7992 [4 per cell]

Principal peaks in the range 5° ≤ 2θ ≤ 70°, in order of falling intensity:
two_theta, Rel. int., hkl
28.5, 100, 1 1 2
35.0, 76, 3 1 -4
30.0, 52, 0 0 4
31.4, 50, 3 1 0
29.5, 43, 3 1 -1
41.1, 41, 0 2 0
28.1, 34, 4 0 -2
21.7, 29, 1 1 -1
54.8, 28, 7 1 -3
54.7, 26, 1 1 6


2.
Theoretical X-ray diffraction stick pattern
Compound: Pr6Ho5Tm2
Radiation: copper Kα
Structure: a DFT-relaxed cell (PBE, Alexandria)
Intensities are scaled so that the largest is 100.

a b c (Å): 11.6932 20.7202 3.6254
angles (deg): 90.00 90.00 90.00
Space group Pbam (No. 55)
Asymmetric unit:
Pr: 0.0612 0.0810 0.0000 [4 per cell]
Pr: 0.0852 0.3680 0.0000 [4 per cell]
Pr: 0.1714 0.6370 0.5000 [4 per cell]
Ho: 0.0000 0.5000 0.5000 [2 per cell]
Ho: 0.0928 0.2278 0.5000 [4 per cell]
Ho: 0.1972 0.9439 0.5000 [4 per cell]
Tm: 0.1647 0.7911 0.0000 [4 per cell]

Principal peaks in the range 5° ≤ 2θ ≤ 70°, in order of falling intensity:
two_theta, Rel. int., hkl
31.8, 100, 2 3 1
31.2, 53, 1 7 0
31.1, 51, 1 4 1
30.9, 46, 4 1 0
36.3, 35, 3 3 1
33.9, 34, 2 4 1
50.3, 19, 0 0 2
60.2, 18, 4 1 2
60.4, 17, 1 7 2
51.4, 16, 1 10 1


3.
Theoretical X-ray diffraction stick pattern
Compound: Pr2YEr6
Radiation: copper Kα
Structure: a DFT-relaxed cell (PBE, Alexandria)
Intensities are scaled so that the largest is 100.

a b c (Å): 13.3988 11.7427 9.0875
angles (deg): 90.00 125.80 90.00
Space group C2/c (No. 15)
Asymmetric unit:
Pr: 0.1898 0.0917 0.4330 [8 per cell]
Y: 0.0000 0.3284 0.2500 [4 per cell]
Er: 0.0343 0.1315 0.9598 [8 per cell]
Er: 0.0980 0.4094 0.6858 [8 per cell]
Er: 0.2262 0.3359 0.1402 [8 per cell]

Principal peaks in the range 5° ≤ 2θ ≤ 70°, in order of falling intensity:
two_theta, Rel. int., hkl
31.6, 100, 4 2 -1
30.7, 68, 3 1 -3
30.8, 65, 1 1 2
30.4, 38, 0 4 0
37.7, 29, 3 3 -3
56.5, 26, 2 2 -5
32.8, 25, 0 4 1
37.8, 25, 1 3 2
29.2, 24, 1 3 1
64.0, 15, 2 6 -4


4.
Theoretical X-ray diffraction stick pattern
Compound: PuZr9Sc3
Radiation: copper Kα
Structure: a DFT-relaxed cell (PBE, Alexandria)
Intensities are scaled so that the largest is 100.

a b c (Å): 15.1808 3.1605 12.9966
angles (deg): 90.00 101.78 90.00
Space group Cm (No. 8)
Asymmetric unit:
Pu: 0.0000 0.0000 0.0000 [2 per cell]
Zr: 0.0402 0.0000 0.6202 [2 per cell]
Zr: 0.0756 0.5000 0.2227 [2 per cell]
Zr: 0.1141 0.5000 0.8406 [2 per cell]
Zr: 0.1876 0.0000 0.0756 [2 per cell]
Zr: 0.2327 0.0000 0.6915 [2 per cell]
Zr: 0.2687 0.0000 0.3068 [2 per cell]
Zr: 0.3594 0.0000 0.5426 [2 per cell]
Zr: 0.3731 0.5000 0.1450 [2 per cell]
Zr: 0.4171 0.5000 0.7687 [2 per cell]
Sc: 0.1622 0.5000 0.4680 [2 per cell]
Sc: 0.3098 0.0000 0.9225 [2 per cell]
Sc: 0.4608 0.5000 0.3821 [2 per cell]

Principal peaks in the range 5° ≤ 2θ ≤ 70°, in order of falling intensity:
two_theta, Rel. int., hkl
35.2, 100, 4 0 3
34.9, 82, 2 0 -5
6.9, 75, 0 0 1
36.1, 73, 6 0 -2
35.1, 57, 3 1 -2
36.7, 55, 1 1 3
33.6, 49, 3 1 0
12.5, 26, 2 0 -1
51.2, 24, 5 1 -5
42.0, 22, 5 1 -2